Diffraction record for SrZnSbI. The X-ray powder pattern is theoretical, not measured: it uses the PBE geometry in Alexandria and Cu Kα, 1.54184 Å.

Atomic structure:
Lattice parameters (Å, degrees): 16.009 16.009 16.009 16.57 16.57 16.57
Fractional coordinates of all 8 atoms:
Sr1 0.082 0.082 0.082
Sr2 0.918 0.918 0.918
Zn1 0.311 0.311 0.311
Zn2 0.689 0.689 0.689
Sb1 0.371 0.371 0.371
Sb2 0.629 0.629 0.629
I1 0.212 0.212 0.212
I2 0.788 0.788 0.788

Peak list (10 most intense, 15 to 90 degrees two-theta, in order of rising 2θ)
2theta	intensity
22.55	44
25.89	100
29.24	23
33.28	28
34.74	19
39.04	74
39.44	28
42.76	19
45.54	18
47.44	19